[1]
Diffraction record for TmSnAuS3. The powder X-ray diffraction pattern is computed, not measured: it uses a GGA-PBE-relaxed structure and Cu Kα (weighted mean of Kα1 and Kα2).
No peak broadening, texture or thermal motion is included.

Structure:
abc: 14.365 4.034 10.884
angles: 90.00 90.00 90.00
Space group Pnma (No. 62)
Asymmetric unit:
1 Tm 0.011 0.250 0.153
2 Sn 0.242 0.250 0.919
3 Au 0.106 0.250 0.538
4 S 0.094 0.250 0.750
5 S 0.103 0.750 0.039
6 S 0.147 0.250 0.329

Principal peaks in the range 15° ≤ 2θ ≤ 90°, by angle:
| hkl | 2θ/deg | d/Å | I_rel |
| --- | --- | --- | --- |
| 3 0 2 | 24.77 | 3.595 | 42 |
| 2 1 0 | 25.32 | 3.517 | 100 |
| 2 1 1 | 26.64 | 3.347 | 37 |
| 1 1 2 | 28.23 | 3.161 | 46 |
| 3 1 1 | 30.11 | 2.968 | 92 |
| 0 1 5 | 47.46 | 1.916 | 39 |

[2]
Diffraction record for YSnAuS3. The powder X-ray diffraction pattern is computed, not measured: it uses a GGA-PBE-relaxed structure and Cu Kα (weighted mean of Kα1 and Kα2).
No peak broadening, texture or thermal motion is included.

Structure:
abc: 10.273 4.065 14.322
angles: 90.00 90.00 90.00
Space group Pnma (No. 62)
Asymmetric unit:
1 Y 0.015 0.250 0.236
2 Sn 0.229 0.750 0.440
3 Au 0.244 0.250 0.598
4 S 0.020 0.250 0.632
5 S 0.029 0.750 0.110
6 S 0.244 0.750 0.816

Principal peaks in the range 15° ≤ 2θ ≤ 90°, by angle:
| hkl | 2θ/deg | d/Å | I_rel |
| --- | --- | --- | --- |
| 2 0 0 | 17.26 | 5.137 | 29 |
| 2 0 2 | 21.29 | 4.174 | 46 |
| 2 1 1 | 28.69 | 3.112 | 29 |
| 0 1 3 | 28.85 | 3.095 | 100 |
| 4 0 0 | 34.94 | 2.568 | 33 |
| 4 1 3 | 45.92 | 1.976 | 50 |

[3]
Diffraction record for SrYTeAuS2. The powder X-ray diffraction pattern is computed, not measured: it uses a GGA-PBE-relaxed structure and Cu Kα (weighted mean of Kα1 and Kα2).
No peak broadening, texture or thermal motion is included.

Structure:
abc: 4.065 14.557 11.012
angles: 90.00 90.00 90.00
Space group Cmcm (No. 63)
Asymmetric unit:
1 Sr 0.000 0.204 0.250
2 Y 0.000 0.000 0.000
3 Te 0.000 0.113 0.750
4 Au 0.000 0.483 0.750
5 S 0.000 0.378 0.569

Principal peaks in the range 15° ≤ 2θ ≤ 90°, by angle:
| hkl | 2θ/deg | d/Å | I_rel |
| --- | --- | --- | --- |
| 0 0 2 | 16.10 | 5.506 | 52 |
| 1 3 1 | 29.80 | 2.998 | 40 |
| 0 0 4 | 32.52 | 2.753 | 32 |
| 1 3 2 | 33.03 | 2.712 | 100 |
| 1 5 2 | 41.53 | 2.175 | 28 |
| 2 0 0 | 44.58 | 2.033 | 18 |

[4]
Diffraction record for SrYAuS3. The powder X-ray diffraction pattern is computed, not measured: it uses a GGA-PBE-relaxed structure and Cu Kα (weighted mean of Kα1 and Kα2).
No peak broadening, texture or thermal motion is included.

Structure:
abc: 4.023 13.320 10.333
angles: 90.00 90.00 90.00
Space group Cmcm (No. 63)
Asymmetric unit:
1 Sr 0.000 0.247 0.250
2 Y 0.000 0.000 0.000
3 Au 0.000 0.467 0.750
4 S 0.000 0.088 0.750
5 S 0.000 0.359 0.554

Principal peaks in the range 15° ≤ 2θ ≤ 90°, by angle:
| hkl | 2θ/deg | d/Å | I_rel |
| --- | --- | --- | --- |
| 0 0 2 | 17.16 | 5.166 | 30 |
| 1 1 2 | 28.92 | 3.087 | 57 |
| 1 3 1 | 31.23 | 2.864 | 59 |
| 0 0 4 | 34.74 | 2.582 | 100 |
| 0 4 4 | 44.39 | 2.041 | 39 |
| 1 7 1 | 54.02 | 1.698 | 31 |